Starting from a structure optimized by DFT (PBE), the powder XRD pattern of CaBe was calculated for Cu Kα (weighted mean of Kα1 and Kα2).
Intensities are scaled so that the largest is 100.

Crystal structure
```
data_CaBe
_chemical_formula_sum 'Ca6 Be6'
_symmetry_space_group_name_H-M 'C 1 m 1'
_symmetry_Int_Tables_number 8
_cell_length_a 10.910
_cell_length_b 3.641
_cell_length_c 7.075
_cell_angle_alpha 90.00
_cell_angle_beta 98.67
_cell_angle_gamma 90.00
loop_
_symmetry_equiv_pos_as_xyz
'x,y,z'
'x,-y,z'
'x+1/2,y+1/2,z'
'x+1/2,-y+1/2,z'
loop_
_atom_site_label
_atom_site_fract_x
_atom_site_fract_y
_atom_site_fract_z
Ca1 0.000 0.000 0.000
Ca2 0.055 0.000 0.562
Ca3 0.269 0.500 0.291
Be1 0.257 0.500 0.770
Be2 0.267 0.000 0.934
Be3 0.340 0.000 0.675
```

Largest 6 diffraction maxima, sorted by position, 2θ = 10–90°:
- 25.83°, I 96.0, hkl 1 1 0
- 28.25°, I 100.0, hkl 2 0 -2
- 32.55°, I 45.3, hkl 2 0 2
- 33.23°, I 45.1, hkl 4 0 0
- 35.08°, I 50.8, hkl 3 1 0
- 35.67°, I 57.2, hkl 1 1 -2